[1]
The following is a calculated powder diffractogram of HfGaPd. It was derived from a crystal structure in the Materials Project, relaxed with PBE, using copper Kα.
Lines closer than 0.1° are merged.

Peak list (10 most intense, 10° ≤ 2θ ≤ 80°, in order of rising 2θ)
hkl, d [Å], I (rel.)
1 1 0, 3.602, 17
1 1 2, 2.500, 100
2 1 0, 2.358, 33
2 0 2, 2.321, 71
3 0 0, 2.080, 45
2 1 2, 1.951, 19
0 0 4, 1.737, 17
3 1 0, 1.730, 16
3 0 4, 1.333, 18
3 2 2, 1.323, 27

Structural model:
```
data_HfGaPd
_symmetry_space_group_name_H-M 'P -6 2 c'
_symmetry_Int_Tables_number 190
_symmetry_space_group_name_Hall 'P -6c -2c'
_cell_length_a 7.2042
_cell_length_b 7.2042
_cell_length_c 6.9463
_cell_angle_alpha 90.00
_cell_angle_beta 90.00
_cell_angle_gamma 120.00
loop_
_atom_site_label
_atom_site_type_symbol
_atom_site_fract_x
_atom_site_fract_y
_atom_site_fract_z
Hf1 Hf 0.0206 0.4086 0.2500
Ga1 Ga 0.0000 0.7316 0.0000
Pd1 Pd 0.0000 0.0000 0.2500
Pd2 Pd 0.3333 0.6667 0.5306
```


[2]
The following is a calculated powder diffractogram of Hf6Ga16Pd7. It was derived from a crystal structure in the Materials Project, relaxed with PBE, using copper Kα.
Lines closer than 0.1° are merged.

Peak list (10 most intense, 10° ≤ 2θ ≤ 80°, in order of rising 2θ)
hkl, d [Å], I (rel.)
3 3 1, 2.859, 29
4 2 2, 2.544, 38
3 3 3, 2.398, 95
4 4 0, 2.203, 100
6 0 0, 2.077, 31
6 2 2, 1.879, 14
6 6 0, 1.469, 28
5 5 5, 1.439, 13
8 4 2, 1.360, 14
9 3 3, 1.252, 26

Structural model:
```
data_Hf6Ga16Pd7
_symmetry_space_group_name_H-M 'F m -3 m'
_symmetry_Int_Tables_number 225
_symmetry_space_group_name_Hall '-F 4 2 3'
_cell_length_a 12.4617
_cell_length_b 12.4617
_cell_length_c 12.4617
_cell_angle_alpha 90.00
_cell_angle_beta 90.00
_cell_angle_gamma 90.00
loop_
_atom_site_label
_atom_site_type_symbol
_atom_site_fract_x
_atom_site_fract_y
_atom_site_fract_z
Hf1 Hf 0.0000 0.0000 0.1855
Ga1 Ga 0.1218 0.1218 0.3782
Ga2 Ga 0.1594 0.1594 0.1594
Pd1 Pd 0.0000 0.0000 0.5000
Pd2 Pd 0.0000 0.2500 0.2500
```


[3]
The following is a calculated powder diffractogram of Hf3Ga3Pd2Pt. It was derived from a crystal structure in the Materials Project, relaxed with PBE, using copper Kα.
Lines closer than 0.1° are merged.

Peak list (10 most intense, 10° ≤ 2θ ≤ 80°, in order of rising 2θ)
hkl, d [Å], I (rel.)
1 0 0, 6.221, 16
1 1 0, 3.592, 18
1 1 2, 2.504, 100
1 2 0, 2.351, 34
2 0 2, 2.323, 78
3 0 0, 2.074, 48
2 1 2, 1.951, 24
0 0 4, 1.746, 17
3 0 4, 1.336, 17
3 2 2, 1.321, 27

Structural model:
```
data_Hf3Ga3Pd2Pt
_symmetry_space_group_name_H-M 'P -6'
_symmetry_Int_Tables_number 174
_cell_length_a 7.1834
_cell_length_b 7.1834
_cell_length_c 6.9852
_cell_angle_alpha 90.00
_cell_angle_beta 90.00
_cell_angle_gamma 120.00
loop_
_symmetry_equiv_pos_as_xyz
'x,y,z'
'-x+y,-x,-z'
'-y,x-y,z'
'x,y,-z'
'-x+y,-x,z'
'-y,x-y,-z'
loop_
_atom_site_label
_atom_site_type_symbol
_atom_site_fract_x
_atom_site_fract_y
_atom_site_fract_z
Hf1 Hf 0.0232 0.6111 0.0000
Hf2 Hf 0.4129 0.3885 0.5000
Ga1 Ga 0.0007 0.2656 0.2499
Pd1 Pd 0.0000 0.0000 0.0000
Pd2 Pd 0.0000 0.0000 0.5000
Pd3 Pd 0.3333 0.6667 0.2849
Pt1 Pt 0.6667 0.3333 0.2153
```


[4]
The following is a calculated powder diffractogram of HfGaPt. It was derived from a crystal structure in the Materials Project, relaxed with PBE, using copper Kα.
Lines closer than 0.1° are merged.

Peak list (10 most intense, 10° ≤ 2θ ≤ 80°, in order of rising 2θ)
hkl, d [Å], I (rel.)
1 1 0, 3.589, 35
1 0 2, 3.072, 18
1 1 2, 2.518, 94
2 1 0, 2.350, 27
2 0 2, 2.334, 100
3 0 0, 2.072, 68
2 1 2, 1.957, 41
0 0 4, 1.767, 21
3 0 4, 1.344, 26
3 2 2, 1.323, 36

Structural model:
```
data_HfGaPt
_symmetry_space_group_name_H-M 'P -6 2 c'
_symmetry_Int_Tables_number 190
_symmetry_space_group_name_Hall 'P -6c -2c'
_cell_length_a 7.1782
_cell_length_b 7.1782
_cell_length_c 7.0667
_cell_angle_alpha 90.00
_cell_angle_beta 90.00
_cell_angle_gamma 120.00
loop_
_atom_site_label
_atom_site_type_symbol
_atom_site_fract_x
_atom_site_fract_y
_atom_site_fract_z
Hf1 Hf 0.0237 0.6141 0.2500
Ga1 Ga 0.0000 0.2679 0.0000
Pt1 Pt 0.0000 0.0000 0.2500
Pt2 Pt 0.3333 0.6667 0.5326
```


[5]
The following is a calculated powder diffractogram of Hf6Ga16Rh7. It was derived from a crystal structure in the Materials Project, relaxed with PBE, using copper Kα.
Lines closer than 0.1° are merged.

Peak list (10 most intense, 10° ≤ 2θ ≤ 80°, in order of rising 2θ)
hkl, d [Å], I (rel.)
3 3 1, 2.837, 24
4 2 2, 2.524, 32
3 3 3, 2.380, 79
4 4 0, 2.186, 100
6 0 0, 2.061, 23
7 3 1, 1.610, 16
8 0 0, 1.546, 11
6 6 0, 1.457, 22
5 5 5, 1.428, 10
9 3 3, 1.243, 18

Structural model:
```
data_Hf6Ga16Rh7
_symmetry_space_group_name_H-M 'F m -3 m'
_symmetry_Int_Tables_number 225
_symmetry_space_group_name_Hall '-F 4 2 3'
_cell_length_a 12.3646
_cell_length_b 12.3646
_cell_length_c 12.3646
_cell_angle_alpha 90.00
_cell_angle_beta 90.00
_cell_angle_gamma 90.00
loop_
_atom_site_label
_atom_site_type_symbol
_atom_site_fract_x
_atom_site_fract_y
_atom_site_fract_z
Hf1 Hf 0.0000 0.0000 0.1908
Ga1 Ga 0.1218 0.1218 0.3782
Ga2 Ga 0.1564 0.1564 0.1564
Rh1 Rh 0.0000 0.0000 0.5000
Rh2 Rh 0.0000 0.2500 0.2500
```


[6]
The following is a calculated powder diffractogram of Hf2GaSb3. It was derived from a crystal structure in the Materials Project, relaxed with PBE, using copper Kα.
Lines closer than 0.1° are merged.

Peak list (10 most intense, 10° ≤ 2θ ≤ 80°, in order of rising 2θ)
hkl, d [Å], I (rel.)
1 0 1, 3.584, 40
1 0 2, 2.918, 25
0 0 3, 2.901, 25
1 1 0, 2.781, 44
1 1 1, 2.649, 77
1 1 2, 2.343, 90
1 0 3, 2.335, 100
2 0 0, 1.967, 63
1 0 5, 1.592, 21
2 1 3, 1.504, 50

Structural model:
```
data_Hf2GaSb3
_symmetry_space_group_name_H-M 'P -4 m 2'
_symmetry_Int_Tables_number 115
_cell_length_a 3.9330
_cell_length_b 3.9330
_cell_length_c 8.7043
_cell_angle_alpha 90.00
_cell_angle_beta 90.00
_cell_angle_gamma 90.00
loop_
_symmetry_equiv_pos_as_xyz
'x,y,z'
'y,-x,-z'
'-x,-y,z'
'-y,x,-z'
'-x,y,z'
'-y,-x,-z'
'x,-y,z'
'y,x,-z'
loop_
_atom_site_label
_atom_site_type_symbol
_atom_site_fract_x
_atom_site_fract_y
_atom_site_fract_z
Hf1 Hf 0.0000 0.5000 0.2392
Ga1 Ga 0.0000 0.0000 0.5000
Sb1 Sb 0.0000 0.5000 0.8842
Sb2 Sb 0.5000 0.5000 0.5000
```


[7]
The following is a calculated powder diffractogram of Hf2Ti3Ga3. It was derived from a crystal structure in the Materials Project, relaxed with PBE, using copper Kα.
Lines closer than 0.1° are merged.

Peak list (10 most intense, 10° ≤ 2θ ≤ 80°, in order of rising 2θ)
hkl, d [Å], I (rel.)
1 0 0, 6.727, 71
1 1 0, 3.884, 37
1 0 2, 2.594, 22
2 1 0, 2.543, 31
2 1 1, 2.317, 30
1 1 2, 2.277, 100
3 0 0, 2.242, 56
2 0 2, 2.157, 18
2 2 2, 1.598, 28
4 1 2, 1.301, 17

Structural model:
```
data_Hf2Ti3Ga3
_symmetry_space_group_name_H-M 'P 63/m c m'
_symmetry_Int_Tables_number 193
_symmetry_space_group_name_Hall '-P 6c 2'
_cell_length_a 7.7678
_cell_length_b 7.7678
_cell_length_c 5.6228
_cell_angle_alpha 90.00
_cell_angle_beta 90.00
_cell_angle_gamma 120.00
loop_
_atom_site_label
_atom_site_type_symbol
_atom_site_fract_x
_atom_site_fract_y
_atom_site_fract_z
Hf1 Hf 0.3333 0.6667 0.0000
Ti1 Ti 0.0000 0.2372 0.2500
Ga1 Ga 0.0000 0.3863 0.7500
```


[8]
The following is a calculated powder diffractogram of HfV2Ga4. It was derived from a crystal structure in the Materials Project, relaxed with PBE, using copper Kα.
Lines closer than 0.1° are merged.

Peak list (10 most intense, 10° ≤ 2θ ≤ 80°, in order of rising 2θ)
hkl, d [Å], I (rel.)
1 1 0, 4.571, 18
0 0 2, 2.594, 29
2 1 1, 2.525, 100
2 2 0, 2.285, 63
1 1 2, 2.256, 54
3 0 1, 1.990, 70
2 2 2, 1.715, 17
2 1 3, 1.484, 19
3 0 3, 1.349, 19
3 3 2, 1.314, 22

Structural model:
```
data_HfV2Ga4
_symmetry_space_group_name_H-M 'I 4/m m m'
_symmetry_Int_Tables_number 139
_symmetry_space_group_name_Hall '-I 4 2'
_cell_length_a 6.4640
_cell_length_b 6.4640
_cell_length_c 5.1878
_cell_angle_alpha 90.00
_cell_angle_beta 90.00
_cell_angle_gamma 90.00
loop_
_atom_site_label
_atom_site_type_symbol
_atom_site_fract_x
_atom_site_fract_y
_atom_site_fract_z
Hf1 Hf 0.0000 0.0000 0.0000
V1 V 0.0000 0.5000 0.2500
Ga1 Ga 0.1977 0.1977 0.5000
```


[9]
The following is a calculated powder diffractogram of Hf3V2Ga6. It was derived from a crystal structure in the Materials Project, relaxed with PBE, using copper Kα.
Lines closer than 0.1° are merged.

Peak list (10 most intense, 10° ≤ 2θ ≤ 80°, in order of rising 2θ)
hkl, d [Å], I (rel.)
1 2 1, 3.127, 32
2 0 0, 2.690, 28
1 3 0, 2.583, 40
1 2 2, 2.568, 32
1 0 3, 2.340, 26
0 2 3, 2.240, 50
2 0 2, 2.214, 38
0 4 0, 2.205, 100
1 3 2, 2.153, 31
1 5 3, 1.410, 19

Structural model:
```
data_Hf3V2Ga6
_symmetry_space_group_name_H-M 'P m m n'
_symmetry_Int_Tables_number 59
_cell_length_a 5.3801
_cell_length_b 8.8341
_cell_length_c 7.7963
_cell_angle_alpha 90.00
_cell_angle_beta 90.00
_cell_angle_gamma 90.00
loop_
_symmetry_equiv_pos_as_xyz
'x,y,z'
'-x,-y,-z'
'-x+1/2,-y+1/2,z'
'x+1/2,y+1/2,-z'
'x+1/2,-y,-z'
'-x+1/2,y,z'
'-x,y+1/2,-z'
'x,-y+1/2,z'
loop_
_atom_site_label
_atom_site_type_symbol
_atom_site_fract_x
_atom_site_fract_y
_atom_site_fract_z
Hf1 Hf 0.2500 0.0303 0.1554
Hf2 Hf 0.2500 0.7500 0.7176
V1 V 0.0000 0.0000 0.5000
Ga1 Ga 0.0104 0.7500 0.0400
Ga2 Ga 0.2500 0.0623 0.7702
Ga3 Ga 0.2500 0.2500 0.4348
Ga4 Ga 0.2500 0.7500 0.3664
```


[10]
The following is a calculated powder diffractogram of HfZn2Ga. It was derived from a crystal structure in the Materials Project, relaxed with PBE, using copper Kα.
Lines closer than 0.1° are merged.

Peak list (10 most intense, 10° ≤ 2θ ≤ 80°, in order of rising 2θ)
hkl, d [Å], I (rel.)
0 0 6, 4.599, 12
1 0 4, 2.424, 100
0 0 12, 2.300, 28
0 1 8, 2.071, 62
1 1 0, 1.495, 22
1 0 16, 1.435, 18
0 2 4, 1.272, 12
1 1 12, 1.253, 23
0 1 20, 1.218, 10
2 0 8, 1.212, 10

Structural model:
```
data_HfZn2Ga
_symmetry_space_group_name_H-M 'R 3 m'
_symmetry_Int_Tables_number 160
_symmetry_space_group_name_Hall 'R 3 -2"'
_cell_length_a 2.9897
_cell_length_b 2.9897
_cell_length_c 27.5942
_cell_angle_alpha 90.00
_cell_angle_beta 90.00
_cell_angle_gamma 120.00
loop_
_atom_site_label
_atom_site_type_symbol
_atom_site_fract_x
_atom_site_fract_y
_atom_site_fract_z
Hf1 Hf 0.0000 0.0000 0.0000
Zn1 Zn 0.0000 0.0000 0.4979
Zn2 Zn 0.0000 0.0000 0.7540
Ga1 Ga 0.0000 0.0000 0.2461
```


[11]
The following is a calculated powder diffractogram of HfZn2Ga. It was derived from a crystal structure in the Materials Project, relaxed with PBE, using copper Kα.
Lines closer than 0.1° are merged.

Peak list (10 most intense, 10° ≤ 2θ ≤ 80°, in order of rising 2θ)
hkl, d [Å], I (rel.)
0 0 1, 4.128, 8
1 0 0, 4.000, 14
1 0 1, 2.872, 12
1 1 1, 2.333, 100
0 0 2, 2.064, 17
2 0 0, 2.000, 31
2 0 2, 1.436, 21
2 2 0, 1.414, 10
1 1 3, 1.237, 13
3 1 1, 1.209, 23

Structural model:
```
data_HfZn2Ga
_symmetry_space_group_name_H-M 'P 4/m m m'
_symmetry_Int_Tables_number 123
_symmetry_space_group_name_Hall '-P 4 2'
_cell_length_a 4.0000
_cell_length_b 4.0000
_cell_length_c 4.1276
_cell_angle_alpha 90.00
_cell_angle_beta 90.00
_cell_angle_gamma 90.00
loop_
_atom_site_label
_atom_site_type_symbol
_atom_site_fract_x
_atom_site_fract_y
_atom_site_fract_z
Hf1 Hf 0.0000 0.0000 0.0000
Zn1 Zn 0.0000 0.5000 0.5000
Ga1 Ga 0.5000 0.5000 0.0000
```


[12]
The following is a calculated powder diffractogram of Hf4ZnGa11. It was derived from a crystal structure in the Materials Project, relaxed with PBE, using copper Kα.
Lines closer than 0.1° are merged.

Peak list (10 most intense, 10° ≤ 2θ ≤ 80°, in order of rising 2θ)
hkl, d [Å], I (rel.)
0 0 4, 4.357, 8
1 0 1, 3.866, 14
1 0 5, 2.618, 8
1 1 4, 2.358, 100
0 0 8, 2.179, 19
2 0 0, 1.983, 30
2 0 8, 1.466, 21
2 2 0, 1.402, 10
1 1 12, 1.290, 13
3 1 4, 1.205, 23

Structural model:
```
data_Hf4ZnGa11
_symmetry_space_group_name_H-M 'P 4 m m'
_symmetry_Int_Tables_number 99
_cell_length_a 3.9653
_cell_length_b 3.9653
_cell_length_c 17.4297
_cell_angle_alpha 90.00
_cell_angle_beta 90.00
_cell_angle_gamma 90.00
loop_
_symmetry_equiv_pos_as_xyz
'x,y,z'
'-y,x,z'
'-x,-y,z'
'y,-x,z'
'-x,y,z'
'y,x,z'
'x,-y,z'
'-y,-x,z'
loop_
_atom_site_label
_atom_site_type_symbol
_atom_site_fract_x
_atom_site_fract_y
_atom_site_fract_z
Hf1 Hf 0.0000 0.0000 0.0000
Hf2 Hf 0.0000 0.0000 0.2359
Hf3 Hf 0.5000 0.5000 0.4995
Hf4 Hf 0.5000 0.5000 0.7373
Zn1 Zn 0.5000 0.5000 0.2454
Ga1 Ga 0.0000 0.0000 0.4889
Ga2 Ga 0.0000 0.0000 0.7428
Ga3 Ga 0.0000 0.5000 0.1202
Ga4 Ga 0.0000 0.5000 0.3641
Ga5 Ga 0.0000 0.5000 0.6179
Ga6 Ga 0.0000 0.5000 0.8680
Ga7 Ga 0.5000 0.5000 0.9944
```